Diffraction record for Ba3RuO8. The powder X-ray diffraction pattern is calculated, not measured: it uses a crystal structure in Alexandria, relaxed with GGA-PBE and a wavelength of 1.5418 Å.

Cell: 5.953 5.953 11.591 Å, 90.00 90.00 90.00°
Space group I4/mmm (No. 139)
Unique sites:
Ba 0.000 0.000 0.000 x2
Ba 0.000 0.500 0.250 x4
Ru 0.000 0.000 0.500 x2
O 0.199 0.199 0.397 x16

Main lines, sorted by position (10 to 90 degrees two-theta):
2theta	d/Å	Rel. int.	index
26.16	3.406	100.0	1 1 2
30.02	2.977	20.8	2 0 0
42.97	2.105	17.2	2 2 0
43.59	2.076	33.6	2 0 4
51.01	1.790	29.8	3 1 2
52.09	1.756	14.0	1 1 6
53.83	1.703	10.1	2 2 4
69.75	1.348	13.1	3 1 6